No. 1
Computed PXRD pattern
Compound: Hf2Ga2FeCoIr2
Radiation: copper Kα
Structure: the PBE geometry in OQMD
Lines closer than 0.1° are merged.

Structural model:
```
8
Lattice="4.381 0.000 0.000 0.000 4.381 0.000 0.000 0.000 6.195" Properties=species:S:1:pos:R:3 pbc="T T T"
Hf 0.000 2.190 1.551
Hf 2.190 0.000 4.644
Ga 0.000 2.190 4.645
Ga 2.190 0.000 1.550
Fe 0.000 0.000 3.097
Co 2.190 2.190 0.000
Ir 0.000 0.000 0.000
Ir 2.190 2.190 3.097
```

Main lines, sorted by position (2θ from 10° to 80°):
2θ (°), d [Å], intensity
24.9, 3.577, 26
41.2, 2.190, 100
48.8, 1.868, 14
59.7, 1.549, 17
65.7, 1.421, 6
75.1, 1.265, 34

=====

No. 2
Computed PXRD pattern
Compound: Sc2Ga4FeCo
Radiation: copper Kα
Structure: the PBE geometry in OQMD
Lines closer than 0.1° are merged.

Structural model:
```
8
Lattice="6.512 0.000 0.000 0.000 2.017 4.799 0.000 -2.017 4.799" Properties=species:S:1:pos:R:3 pbc="T T T"
Sc 0.000 0.000 0.000
Sc 3.256 0.000 1.421
Ga 1.311 0.000 6.838
Ga 1.973 0.000 4.182
Ga 4.539 0.000 4.182
Ga 5.201 0.000 6.838
Fe 0.000 0.000 2.702
Co 3.256 0.000 8.347
```

Main lines, sorted by position (2θ from 10° to 80°):
2θ (°), d [Å], intensity
35.8, 2.507, 24
36.7, 2.450, 100
37.5, 2.400, 21
38.5, 2.339, 58
40.0, 2.252, 28
45.0, 2.017, 50
45.7, 1.986, 58
45.9, 1.978, 22
47.0, 1.932, 22
48.6, 1.875, 42

=====

No. 3
Computed PXRD pattern
Compound: FeCo2Ge
Radiation: copper Kα
Structure: the PBE geometry in OQMD
Lines closer than 0.1° are merged.

Structural model:
```
8
Lattice="3.988 0.000 0.000 -1.994 3.454 0.000 0.000 0.000 7.264" Properties=species:S:1:pos:R:3 pbc="T T T"
Fe 0.000 2.302 1.816
Fe 1.994 1.151 5.448
Co 0.000 2.302 4.229
Co 0.000 2.302 6.667
Co 1.994 1.151 0.597
Co 1.994 1.151 3.035
Ge 0.000 0.000 1.816
Ge 0.000 0.000 5.448
```

Main lines, sorted by position (2θ from 10° to 80°):
2θ (°), d [Å], intensity
24.5, 3.632, 14
35.9, 2.503, 36
45.5, 1.994, 100
45.8, 1.983, 73
52.3, 1.748, 10
57.3, 1.607, 9
59.3, 1.560, 8
66.5, 1.406, 22
77.7, 1.228, 7
79.1, 1.211, 6